No. 1
The following is a theoretical powder diffractogram of CsScO2. It was derived from a DFT-relaxed cell (PBE, Alexandria), using a wavelength of 1.5418 Å.
Peak positions follow from Bragg's law for the DFT cell and can differ from measured ones.

Crystal structure
a b c (Å): 6.0176 6.0176 7.9617
angles (deg): 121.17 121.17 65.16
Atoms (fractional coordinates):
Cs  0.1497  0.1497  0.3085
Cs  0.8503  0.8503  0.6915
Sc  0.3413  0.3724  0.0010
Sc  0.6276  0.6587  0.9990
O  0.3991  0.3868  0.7795
O  0.4248  0.0166  0.0002
O  0.6132  0.6009  0.2205
O  0.9834  0.5752  0.9998

Main lines, by angle (10° ≤ 2θ ≤ 90°):
Position (°2θ)  d_spacing  I (rel.)
17.5  5.068  94.1
26.6  3.348  100.0
27.0  3.299  96.7
27.5  3.241  68.9
30.5  2.931  38.6
30.9  2.898  26.8
32.8  2.730  61.7
33.1  2.705  27.2
34.0  2.636  22.3
48.1  1.891  30.2

=====

No. 2
The following is a theoretical powder diffractogram of Pm6ErSe8. It was derived from a DFT-relaxed cell (PBE, Alexandria), using a wavelength of 1.5418 Å.
Peak positions follow from Bragg's law for the DFT cell and can differ from measured ones.

Crystal structure
a b c (Å): 8.3525 8.3525 8.3525
angles (deg): 60.00 60.00 60.00
Atoms (fractional coordinates):
Pm  0.0000  0.0000  0.5000
Pm  0.0000  0.5000  0.0000
Pm  0.0000  0.5000  0.5000
Pm  0.5000  0.0000  0.0000
Pm  0.5000  0.0000  0.5000
Pm  0.5000  0.5000  0.0000
Er  0.0000  0.0000  0.0000
Se  0.2458  0.2458  0.7542
Se  0.2458  0.7542  0.2458
Se  0.2458  0.7542  0.7542
Se  0.2500  0.2500  0.2500
Se  0.7500  0.7500  0.7500
Se  0.7542  0.2458  0.2458
Se  0.7542  0.2458  0.7542
Se  0.7542  0.7542  0.2458

Main lines, by angle (10° ≤ 2θ ≤ 90°):
Position (°2θ)  d_spacing  I (rel.)
13.0  6.820  10.9
25.0  3.562  5.9
26.1  3.410  11.2
30.3  2.953  100.0
43.3  2.088  74.4
51.3  1.781  5.7
53.8  1.705  26.2
62.9  1.477  12.2
71.4  1.321  33.4
79.5  1.206  25.0

=====

No. 3
The following is a theoretical powder diffractogram of Zr6C3O. It was derived from a DFT-relaxed cell (PBE, Alexandria), using a wavelength of 1.5418 Å.
Peak positions follow from Bragg's law for the DFT cell and can differ from measured ones.

Crystal structure
a b c (Å): 6.2592 6.2592 5.1102
angles (deg): 112.65 112.65 63.48
Atoms (fractional coordinates):
Zr  0.1613  0.6635  0.6622
Zr  0.2649  0.2649  0.0032
Zr  0.3365  0.8387  0.3378
Zr  0.6635  0.1613  0.6622
Zr  0.7351  0.7351  0.9968
Zr  0.8387  0.3365  0.3378
C  0.2532  0.2532  0.4597
C  0.5000  0.5000  0.0000
C  0.7468  0.7468  0.5403
O  0.0000  0.0000  0.5000

Main lines, by angle (10° ≤ 2θ ≤ 90°):
Position (°2θ)  d_spacing  I (rel.)
32.8  2.727  100.0
33.1  2.705  80.6
33.6  2.669  81.5
33.8  2.654  86.2
33.9  2.645  83.7
35.1  2.554  85.8
47.2  1.925  46.2
48.6  1.874  36.1
49.5  1.841  31.1
61.0  1.519  31.4

=====

No. 4
The following is a theoretical powder diffractogram of Pm3Ga2Sn2. It was derived from a DFT-relaxed cell (PBE, Alexandria), using a wavelength of 1.5418 Å.
Peak positions follow from Bragg's law for the DFT cell and can differ from measured ones.

Crystal structure
a b c (Å): 6.1431 6.1431 7.9923
angles (deg): 111.60 111.60 42.15
Atoms (fractional coordinates):
Pm  0.0000  0.0000  0.0000
Pm  0.1776  0.1776  0.6403
Pm  0.8224  0.8224  0.3597
Ga  0.2991  0.2991  0.0714
Ga  0.7009  0.7009  0.9286
Sn  0.4615  0.4615  0.6707
Sn  0.5385  0.5385  0.3293

Main lines, by angle (10° ≤ 2θ ≤ 90°):
Position (°2θ)  d_spacing  I (rel.)
26.6  3.352  36.9
30.2  2.962  100.0
31.0  2.883  34.5
31.2  2.864  43.9
34.2  2.623  25.6
36.7  2.448  33.6
38.3  2.347  55.5
40.9  2.209  37.3
52.3  1.749  20.6
56.1  1.640  20.0

=====

No. 5
The following is a theoretical powder diffractogram of Li5AgAu6. It was derived from a DFT-relaxed cell (PBE, Alexandria), using a wavelength of 1.5418 Å.
Peak positions follow from Bragg's law for the DFT cell and can differ from measured ones.

Crystal structure
a b c (Å): 4.8376 5.6459 7.7624
angles (deg): 68.97 78.30 89.96
Atoms (fractional coordinates):
Li  0.0000  0.0000  0.0000
Li  0.2747  0.3363  0.3261
Li  0.2777  0.8357  0.3279
Li  0.7223  0.1643  0.6721
Li  0.7253  0.6637  0.6739
Ag  0.0000  0.5000  0.0000
Au  0.2284  0.4232  0.6509
Au  0.2285  0.9259  0.6518
Au  0.5004  0.2441  0.0004
Au  0.4996  0.7559  0.9996
Au  0.7715  0.0741  0.3482
Au  0.7716  0.5768  0.3491

Main lines, by angle (10° ≤ 2θ ≤ 90°):
Position (°2θ)  d_spacing  I (rel.)
24.8  3.585  100.0
28.0  3.181  87.0
31.7  2.823  65.6
37.4  2.402  50.4
38.2  2.358  63.8
40.6  2.222  47.3
40.8  2.213  46.4
42.7  2.115  45.7
42.9  2.107  61.4
49.9  1.829  26.7